This entry pairs a crystal structure of La3InC with its calculated X-ray powder pattern. Radiation: Cu Kα (λ = 1.5418 Å). Structure: the GGA-PBE geometry in the Materials Project.
Peak positions follow from Bragg's law for the DFT cell and can differ from measured ones.

Structural model:
Lattice parameters (Å, degrees): 5.250 5.250 5.250 90.00 90.00 90.00
Space group Pm-3m (No. 221)
Unique sites:
La: 0.000 0.000 0.500 [3 per cell]
In: 0.500 0.500 0.500 [1 per cell]
C: 0.000 0.000 0.000 [1 per cell]

Most intense lines, 10 to 90 degrees two-theta, by angle:
(hkl)  2θ (°)  d_spacing  I (rel.)
1 1 1  29.5  3.031  100
2 0 0  34.2  2.625  55
2 2 0  49.1  1.856  39
3 1 1  58.3  1.583  43
3 3 1  79.6  1.204  18
4 2 0  82.1  1.174  17